Calculated PXRD pattern of Ba2EuTa3Ti2O15 for λ = 1.5418 Å (Cu Kα), from a crystal structure in the Materials Project, relaxed with GGA-PBE.

The 6 most intense peaks (10 to 90 degrees two-theta), in order of rising 2θ:
| Position (°2θ) | d/Å | intensity | hkl |
| --- | --- | --- | --- |
| 14.15 | 6.260 | 35 | 2 0 0 |
| 27.56 | 3.236 | 66 | 2 1 1 |
| 29.41 | 3.037 | 38 | 4 1 0 |
| 31.86 | 2.809 | 100 | 1 3 1 |
| 31.94 | 2.802 | 63 | 4 2 0 |
| 45.81 | 1.981 | 41 | 0 0 2 |

Crystal structure
```
Ba2EuTa3Ti2O15
1.0
12.519 0.000 0.000
0.000 12.590 0.000
0.000 0.000 3.962
Ba Eu Ta Ti O
4 2 6 4 30
Cartesian
2.151 2.161 0.000 Ba
4.109 8.456 0.000 Ba
8.410 4.134 0.000 Ba
10.368 10.429 0.000 Ba
0.000 6.295 0.000 Eu
6.259 0.000 0.000 Eu
0.000 0.000 1.981 Ta
0.956 8.934 1.981 Ta
5.303 2.639 1.981 Ta
6.259 6.295 1.981 Ta
7.215 9.951 1.981 Ta
11.563 3.656 1.981 Ta
2.660 5.342 1.981 Ti
3.599 11.637 1.981 Ti
8.920 0.953 1.981 Ti
9.858 7.247 1.981 Ti
0.000 0.000 0.000 O
0.104 1.990 1.981 O
0.811 4.598 1.981 O
0.951 8.768 0.000 O
1.704 7.113 1.981 O
1.981 0.052 1.981 O
2.428 5.353 0.000 O
2.710 9.857 1.981 O
3.549 3.563 1.981 O
3.831 11.648 0.000 O
4.278 6.347 1.981 O
4.555 0.818 1.981 O
5.308 2.474 0.000 O
5.448 10.893 1.981 O
6.156 8.285 1.981 O
6.259 6.295 0.000 O
6.363 4.305 1.981 O
7.070 1.696 1.981 O
7.211 10.116 0.000 O
7.963 11.772 1.981 O
8.241 6.242 1.981 O
8.688 0.942 0.000 O
8.970 9.027 1.981 O
9.808 2.732 1.981 O
10.090 7.237 0.000 O
10.537 12.537 1.981 O
10.815 5.477 1.981 O
11.567 3.821 0.000 O
11.708 7.991 1.981 O
12.415 10.600 1.981 O
```